Simulated powder diffraction line list
Compound: SrTeWO6
Radiation: Cu Ka
Structure: a PBE+U-relaxed structure
Lines closer than 0.1° are merged.

Atomic structure:
```
SrTeWO6
1.0
5.6149 0.0000 0.0000
-2.8075 4.8627 0.0000
0.0000 0.0000 5.2233
Sr Te W O
1 1 1 6
Direct
0.0000 0.0000 0.0000 Sr
0.6667 0.3333 0.4410 Te
0.3333 0.6667 0.5013 W
0.0006 0.5821 0.2452 O
0.0743 0.3558 0.6696 O
0.2815 0.9257 0.6696 O
0.4179 0.4185 0.2452 O
0.5815 0.9994 0.2452 O
0.6442 0.7185 0.6696 O
```

The 10 most intense peaks (2θ = 5–70°), by angle:
5.223 Å, rel. 37, (0 0 1)
4.863 Å, rel. 16, (1 0 0)
3.559 Å, rel. 100, (1 0 1)
2.807 Å, rel. 52, (1 1 0)
2.473 Å, rel. 27, (2 -1 1)
2.204 Å, rel. 26, (0 2 1)
1.912 Å, rel. 45, (2 -1 2)
1.734 Å, rel. 25, (3 -1 1)
1.621 Å, rel. 15, (3 0 0)
1.377 Å, rel. 11, (3 0 2)